Diffraction record for Mn3B7IO13. The PXRD pattern is theoretical, not measured: it uses a cell relaxed with GGA+U and Cu Ka.
Peak positions follow from Bragg's law for the DFT cell and can differ from measured ones.

Crystal structure
```
48
Lattice="0.0000 6.2217 6.2217 6.2217 0.0000 6.2217 6.2217 6.2217 0.0000" Properties=species:S:1:pos:R:3 pbc="T T T"
Mn 6.2217 6.2217 3.1108
Mn 6.2217 3.1108 6.2217
Mn 9.3325 6.2217 6.2217
Mn 3.1108 6.2217 6.2217
Mn 6.2217 9.3325 6.2217
Mn 6.2217 6.2217 9.3325
B 3.1108 3.1108 0.0000
B 3.1108 0.0000 3.1108
B 6.2217 3.1108 3.1108
B 2.1205 2.1205 2.1205
B 4.1012 4.1012 2.1205
B 4.1012 2.1205 4.1012
B 2.1205 4.1012 4.1012
B 0.0000 3.1108 3.1108
B 3.1108 6.2217 3.1108
B 3.1108 3.1108 6.2217
B 8.3422 8.3422 8.3422
B 10.3229 10.3229 8.3422
B 10.3229 8.3422 10.3229
B 8.3422 10.3229 10.3229
I 0.0000 0.0000 0.0000
I 6.2217 6.2217 6.2217
O 8.1702 5.3510 3.3948
O 7.0924 3.3948 4.2732
O 9.0486 4.2732 5.3510
O 5.3510 4.2732 2.8269
O 9.6165 7.0924 4.2732
O 8.1702 2.8269 7.0924
O 3.1108 3.1108 3.1108
O 7.0924 8.1702 2.8269
O 4.2732 2.8269 5.3510
O 9.6165 5.3510 8.1702
O 4.2732 7.0924 3.3948
O 9.0486 8.1702 7.0924
O 5.3510 3.3948 8.1702
O 2.8269 5.3510 4.2732
O 8.1702 9.6165 5.3510
O 7.0924 4.2732 9.6165
O 5.3510 9.0486 4.2732
O 3.3948 4.2732 7.0924
O 8.1702 7.0924 9.0486
O 9.3325 9.3325 9.3325
O 3.3948 8.1702 5.3510
O 7.0924 9.0486 8.1702
O 4.2732 5.3510 9.0486
O 4.2732 9.6165 7.0924
O 2.8269 7.0924 8.1702
O 5.3510 8.1702 9.6165
```

Peak list (10 most intense, 10 to 90 degrees two-theta, by angle)
2θ (°)	I/Imax
14.24	31
28.70	100
32.17	100
41.03	64
43.64	26
50.84	30
53.07	21
61.45	32
67.30	31
74.75	28